# 1
Structure and computed PXRD pattern of BaAgI2O8 (a structure optimized by DFT (PBE); copper Kα).
Neutral-atom scattering factors, no anomalous dispersion.

Principal peaks in the range 10 to 90 degrees two-theta, most intense first:
24.03 deg, 3.703 Å, I = 100, (1 0 4)
31.74 deg, 2.819 Å, I = 49, (1 1 0)
36.60 deg, 2.455 Å, I = 31, (0 1 8)
40.21 deg, 2.243 Å, I = 26, (0 2 4)
52.11 deg, 1.755 Å, I = 24, (3 -1 4)
58.73 deg, 1.572 Å, I = 17, (2 -1 12)
56.55 deg, 1.627 Å, I = 14, (3 0 0)
59.76 deg, 1.548 Å, I = 14, (1 2 8)
49.21 deg, 1.851 Å, I = 11, (2 0 8)
71.64 deg, 1.317 Å, I = 9, (1 3 4)
77.30 deg, 1.234 Å, I = 7, (3 0 12)
78.20 deg, 1.222 Å, I = 7, (3 1 8)

Cell lengths 5.6378, 5.6378, 22.7258 Å; angles 90.00, 90.00, 120.00 degrees
Space group R-3 (No. 148, hexagonal axes)
Symmetry-distinct sites (fractional):
Ba (0.0000, 0.0000, 0.0000) (multiplicity 3)
Ag (0.0000, 0.0000, 0.5000) (multiplicity 3)
I (0.0000, 0.0000, 0.2431) (multiplicity 6)
O (0.0000, 0.0000, 0.3234) (multiplicity 6)
O (0.0039, 0.6402, 0.5609) (multiplicity 18)



# 2
Structure and computed PXRD pattern of Ba2In3Ag2 (a structure optimized by DFT (PBE); copper Kα).
Neutral-atom scattering factors, no anomalous dispersion.

Principal peaks in the range 10 to 90 degrees two-theta, most intense first:
35.46 deg, 2.531 Å, I = 100, (1 1 2)
28.76 deg, 3.104 Å, I = 78, (3 1 -1)
31.06 deg, 2.879 Å, I = 73, (3 1 -2)
37.92 deg, 2.373 Å, I = 59, (0 2 0)
50.33 deg, 1.813 Å, I = 48, (2 2 -3)
28.59 deg, 3.123 Å, I = 38, (1 1 -2)
33.91 deg, 2.644 Å, I = 37, (4 0 0)
31.82 deg, 2.812 Å, I = 34, (2 0 -3)
38.63 deg, 2.331 Å, I = 32, (1 1 -3)
14.83 deg, 5.975 Å, I = 31, (2 0 -1)
29.91 deg, 2.987 Å, I = 31, (4 0 -2)
56.04 deg, 1.641 Å, I = 26, (7 1 -2)

Cell lengths 12.321, 4.745, 8.455 Å; angles 90.00, 120.87, 90.00 degrees
Space group C2/m (No. 12)
Symmetry-distinct sites (fractional):
Ba (0.133, 0.000, 0.267) (multiplicity 4)
In (0.000, 0.500, 0.500) (multiplicity 2)
In (0.142, 0.500, 0.938) (multiplicity 4)
Ag (0.135, 0.000, 0.699) (multiplicity 4)



# 3
Structure and computed PXRD pattern of Ba8InAg2 (a structure optimized by DFT (PBE); copper Kα).
Neutral-atom scattering factors, no anomalous dispersion.

Principal peaks in the range 10 to 90 degrees two-theta, most intense first:
26.93 deg, 3.310 Å, I = 100, (0 4 1)
26.65 deg, 3.345 Å, I = 77, (3 1 -1)
24.75 deg, 3.597 Å, I = 58, (2 0 1)
31.05 deg, 2.880 Å, I = 58, (3 3 0)
28.69 deg, 3.111 Å, I = 49, (2 4 0)
27.91 deg, 3.197 Å, I = 44, (1 1 -2)
32.30 deg, 2.772 Å, I = 43, (1 5 -1)
43.77 deg, 2.068 Å, I = 33, (2 4 2)
25.06 deg, 3.554 Å, I = 33, (1 3 1)
53.64 deg, 1.709 Å, I = 28, (2 8 1)
31.33 deg, 2.855 Å, I = 28, (2 2 -2)
45.61 deg, 1.989 Å, I = 27, (4 4 -2)

Cell lengths 10.744, 15.534, 6.543 Å; angles 90.00, 104.61, 90.00 degrees
Space group Cm (No. 8)
Symmetry-distinct sites (fractional):
Ba (0.000, 0.000, 0.000) (multiplicity 2)
Ba (0.061, 0.371, 0.778) (multiplicity 4)
Ba (0.176, 0.129, 0.600) (multiplicity 4)
Ba (0.233, 0.500, 0.382) (multiplicity 2)
Ba (0.367, 0.239, 0.190) (multiplicity 4)
In (0.367, 0.000, 0.243) (multiplicity 2)
Ag (0.367, 0.317, 0.690) (multiplicity 4)



# 4
Structure and computed PXRD pattern of Ba3In4Ag2 (a structure optimized by DFT (PBE); copper Kα).
Neutral-atom scattering factors, no anomalous dispersion.

Principal peaks in the range 10 to 90 degrees two-theta, most intense first:
34.62 deg, 2.591 Å, I = 100, (3 1 -3)
29.25 deg, 3.053 Å, I = 79, (1 1 2)
29.11 deg, 3.067 Å, I = 69, (3 1 0)
35.30 deg, 2.543 Å, I = 55, (0 2 0)
29.04 deg, 3.074 Å, I = 37, (0 0 3)
28.78 deg, 3.102 Å, I = 34, (4 0 -1)
46.34 deg, 1.959 Å, I = 20, (0 2 3)
59.65 deg, 1.550 Å, I = 19, (1 3 2)
46.16 deg, 1.966 Å, I = 18, (4 2 -1)
62.92 deg, 1.477 Å, I = 17, (3 3 -3)
56.61 deg, 1.626 Å, I = 17, (4 2 2)
42.74 deg, 2.115 Å, I = 15, (4 0 2)

Cell lengths 12.435, 5.085, 9.939 Å; angles 90.00, 111.92, 90.00 degrees
Space group C2/m (No. 12)
Symmetry-distinct sites (fractional):
Ba (0.000, 0.000, 0.000) (multiplicity 2)
Ba (0.184, 0.500, 0.644) (multiplicity 4)
In (0.016, 0.000, 0.356) (multiplicity 4)
In (0.243, 0.500, 0.082) (multiplicity 4)
Ag (0.091, 0.500, 0.264) (multiplicity 4)



# 5
Structure and computed PXRD pattern of Ba3In4Ag2 (a structure optimized by DFT (PBE); copper Kα).
Neutral-atom scattering factors, no anomalous dispersion.

Principal peaks in the range 10 to 90 degrees two-theta, most intense first:
27.35 deg, 3.261 Å, I = 100, (1 1 2)
34.35 deg, 2.611 Å, I = 58, (0 2 0)
28.91 deg, 3.088 Å, I = 58, (3 1 -1)
36.53 deg, 2.460 Å, I = 55, (3 1 -3)
29.08 deg, 3.071 Å, I = 44, (3 1 0)
34.65 deg, 2.589 Å, I = 33, (4 0 1)
49.57 deg, 1.839 Å, I = 33, (4 2 1)
58.51 deg, 1.578 Å, I = 17, (7 1 -2)
44.46 deg, 2.038 Å, I = 16, (0 2 3)
31.88 deg, 2.807 Å, I = 16, (1 1 -3)
28.47 deg, 3.135 Å, I = 16, (2 0 -3)
58.21 deg, 1.585 Å, I = 14, (3 3 -1)

Cell lengths 11.667, 5.221, 10.013 Å; angles 90.00, 102.46, 90.00 degrees
Space group C2/m (No. 12)
Symmetry-distinct sites (fractional):
Ba (0.000, 0.000, 0.000) (multiplicity 2)
Ba (0.118, 0.500, 0.696) (multiplicity 4)
In (0.110, 0.000, 0.425) (multiplicity 4)
In (0.216, 0.500, 0.072) (multiplicity 4)
Ag (0.182, 0.500, 0.342) (multiplicity 4)



# 6
Structure and computed PXRD pattern of Ba3InAg2 (a structure optimized by DFT (PBE); copper Kα).
Neutral-atom scattering factors, no anomalous dispersion.

Principal peaks in the range 10 to 90 degrees two-theta, most intense first:
30.34 deg, 2.946 Å, I = 100, (1 3 1)
30.03 deg, 2.976 Å, I = 51, (2 0 0)
53.52 deg, 1.712 Å, I = 39, (3 3 1)
54.11 deg, 1.695 Å, I = 19, (2 0 2)
42.98 deg, 2.104 Å, I = 19, (2 6 0)
63.12 deg, 1.473 Å, I = 12, (2 6 2)
86.70 deg, 1.123 Å, I = 10, (5 3 1)
87.96 deg, 1.110 Å, I = 10, (3 3 3)
87.17 deg, 1.118 Å, I = 10, (4 6 2)
43.90 deg, 2.062 Å, I = 9, (0 0 2)
70.97 deg, 1.328 Å, I = 8, (3 9 1)
70.80 deg, 1.331 Å, I = 8, (4 6 0)

Cell lengths 5.951, 17.855, 4.125 Å; angles 90.00, 90.00, 90.00 degrees
Space group Cmmm (No. 65)
Symmetry-distinct sites (fractional):
Ba (0.000, 0.000, 0.000) (multiplicity 2)
Ba (0.000, 0.331, 0.000) (multiplicity 4)
In (0.000, 0.500, 0.500) (multiplicity 2)
Ag (0.000, 0.162, 0.500) (multiplicity 4)



# 7
Structure and computed PXRD pattern of Ba2InAg9 (a structure optimized by DFT (PBE); copper Kα).
Neutral-atom scattering factors, no anomalous dispersion.

Principal peaks in the range 10 to 90 degrees two-theta, most intense first:
35.92 deg, 2.500 Å, I = 100, (1 1 6)
30.49 deg, 2.932 Å, I = 61, (1 1 0)
38.80 deg, 2.321 Å, I = 39, (2 0 5)
35.54 deg, 2.526 Å, I = 37, (0 2 1)
63.55 deg, 1.464 Å, I = 28, (2 2 0)
57.82 deg, 1.595 Å, I = 24, (3 0 6)
41.83 deg, 2.160 Å, I = 24, (0 2 7)
27.92 deg, 3.196 Å, I = 21, (1 0 7)
37.47 deg, 2.400 Å, I = 20, (0 0 12)
38.70 deg, 2.327 Å, I = 19, (0 1 11)
54.23 deg, 1.692 Å, I = 17, (3 0 0)
35.96 deg, 2.497 Å, I = 16, (2 0 2)

Cell lengths 5.8563, 5.8563, 28.8036 Å; angles 90.00, 90.00, 120.00 degrees
Space group R-3m (No. 166, hexagonal axes)
Symmetry-distinct sites (fractional):
Ba (0.0000, 0.0000, 0.1354) (multiplicity 6)
In (0.0000, 0.0000, 0.0000) (multiplicity 3)
Ag (0.0000, 0.0000, 0.3328) (multiplicity 6)
Ag (0.0000, 0.0000, 0.5000) (multiplicity 3)
Ag (0.0000, 0.5000, 0.0797) (multiplicity 18)



# 8
Structure and computed PXRD pattern of BaInAg2 (a structure optimized by DFT (PBE); copper Kα).
Neutral-atom scattering factors, no anomalous dispersion.

Principal peaks in the range 10 to 90 degrees two-theta, most intense first:
32.51 deg, 2.754 Å, I = 100, (1 1 2)
31.29 deg, 2.859 Å, I = 31, (0 2 0)
56.47 deg, 1.630 Å, I = 20, (1 3 2)
54.91 deg, 1.672 Å, I = 12, (2 2 0)
43.92 deg, 2.061 Å, I = 12, (2 0 0)
37.02 deg, 2.428 Å, I = 12, (0 0 4)
49.24 deg, 1.851 Å, I = 10, (0 2 4)
73.51 deg, 1.288 Å, I = 9, (3 1 2)
31.76 deg, 2.817 Å, I = 8, (0 1 3)
68.09 deg, 1.377 Å, I = 8, (2 2 4)
58.76 deg, 1.571 Å, I = 6, (2 0 4)
63.89 deg, 1.457 Å, I = 5, (1 1 6)

Cell lengths 4.123, 5.717, 9.712 Å; angles 90.00, 90.00, 90.00 degrees
Space group Imm2 (No. 44)
Symmetry-distinct sites (fractional):
Ba (0.000, 0.000, 0.000) (multiplicity 2)
In (0.000, 0.500, 0.209) (multiplicity 2)
Ag (0.000, 0.000, 0.491) (multiplicity 2)
Ag (0.000, 0.500, 0.788) (multiplicity 2)



# 9
Structure and computed PXRD pattern of Ba3In8Ag3 (a structure optimized by DFT (PBE); copper Kα).
Neutral-atom scattering factors, no anomalous dispersion.

Principal peaks in the range 10 to 90 degrees two-theta, most intense first:
35.58 deg, 2.523 Å, I = 100, (0 2 0)
30.32 deg, 2.948 Å, I = 94, (1 1 2)
30.43 deg, 2.938 Å, I = 86, (5 1 -2)
31.25 deg, 2.863 Å, I = 61, (5 1 -1)
30.57 deg, 2.925 Å, I = 54, (3 1 -3)
38.39 deg, 2.345 Å, I = 50, (3 1 -4)
36.70 deg, 2.449 Å, I = 46, (6 0 0)
33.01 deg, 2.713 Å, I = 38, (5 1 -3)
52.04 deg, 1.757 Å, I = 33, (6 2 0)
32.91 deg, 2.721 Å, I = 31, (1 1 -3)
58.55 deg, 1.577 Å, I = 26, (3 1 4)
29.36 deg, 3.042 Å, I = 25, (2 0 2)

Cell lengths 18.169, 5.046, 10.767 Å; angles 90.00, 126.03, 90.00 degrees
Space group C2/m (No. 12)
Symmetry-distinct sites (fractional):
Ba (0.000, 0.000, 0.000) (multiplicity 2)
Ba (0.206, 0.500, 0.709) (multiplicity 4)
In (0.004, 0.500, 0.683) (multiplicity 4)
In (0.140, 0.000, 0.427) (multiplicity 4)
In (0.144, 0.000, 0.864) (multiplicity 4)
In (0.156, 0.500, 0.284) (multiplicity 4)
Ag (0.000, 0.000, 0.500) (multiplicity 2)
Ag (0.154, 0.500, 0.011) (multiplicity 4)



# 10
Structure and computed PXRD pattern of BaIn8Ag4 (a structure optimized by DFT (PBE); copper Kα).
Neutral-atom scattering factors, no anomalous dispersion.

Principal peaks in the range 10 to 90 degrees two-theta, most intense first:
34.80 deg, 2.578 Å, I = 100, (4 0 0)
39.21 deg, 2.298 Å, I = 44, (2 2 2)
34.97 deg, 2.566 Å, I = 43, (2 0 2)
39.05 deg, 2.307 Å, I = 40, (4 2 0)
62.41 deg, 1.488 Å, I = 33, (6 0 2)
30.05 deg, 2.974 Å, I = 27, (3 0 1)
56.69 deg, 1.624 Å, I = 14, (3 2 3)
30.22 deg, 2.958 Å, I = 11, (0 0 2)
73.86 deg, 1.283 Å, I = 8, (4 0 4)
78.92 deg, 1.213 Å, I = 8, (6 3 3)
62.84 deg, 1.479 Å, I = 7, (0 0 4)
59.46 deg, 1.555 Å, I = 7, (5 4 1)

Cell lengths 10.321, 10.321, 5.915 Å; angles 90.00, 90.00, 90.00 degrees
Space group I4/mmm (No. 139)
Symmetry-distinct sites (fractional):
Ba (0.000, 0.000, 0.000) (multiplicity 2)
In (0.000, 0.218, 0.500) (multiplicity 8)
In (0.000, 0.349, 0.000) (multiplicity 8)
Ag (0.250, 0.250, 0.250) (multiplicity 8)



# 11
Structure and computed PXRD pattern of BaIn2Ag6 (a structure optimized by DFT (PBE); copper Kα).
Neutral-atom scattering factors, no anomalous dispersion.

Principal peaks in the range 10 to 90 degrees two-theta, most intense first:
32.27 deg, 2.774 Å, I = 100, (1 2 1)
40.66 deg, 2.219 Å, I = 69, (0 3 3)
27.30 deg, 3.266 Å, I = 66, (1 1 2)
35.54 deg, 2.526 Å, I = 54, (1 1 4)
60.32 deg, 1.534 Å, I = 41, (2 3 3)
42.56 deg, 2.124 Å, I = 40, (2 0 0)
38.91 deg, 2.314 Å, I = 40, (1 0 5)
39.17 deg, 2.300 Å, I = 25, (0 0 6)
45.91 deg, 1.977 Å, I = 25, (1 2 5)
71.38 deg, 1.321 Å, I = 18, (3 2 1)
43.62 deg, 2.075 Å, I = 17, (1 3 2)
69.54 deg, 1.352 Å, I = 16, (1 3 8)

Cell lengths 4.248, 7.600, 13.800 Å; angles 90.00, 90.00, 90.00 degrees
Space group Immm (No. 71)
Symmetry-distinct sites (fractional):
Ba (0.000, 0.000, 0.000) (multiplicity 2)
In (0.000, 0.500, 0.131) (multiplicity 4)
Ag (0.000, 0.175, 0.500) (multiplicity 4)
Ag (0.000, 0.306, 0.312) (multiplicity 8)



# 12
Structure and computed PXRD pattern of Ba3In8Ag3 (a structure optimized by DFT (PBE); copper Kα).
Neutral-atom scattering factors, no anomalous dispersion.

Principal peaks in the range 10 to 90 degrees two-theta, most intense first:
30.45 deg, 2.936 Å, I = 100, (1 2 3)
35.89 deg, 2.502 Å, I = 45, (2 0 0)
29.89 deg, 2.990 Å, I = 36, (1 3 0)
32.47 deg, 2.758 Å, I = 24, (1 3 2)
39.30 deg, 2.292 Å, I = 20, (1 3 4)
36.20 deg, 2.481 Å, I = 18, (1 0 5)
39.74 deg, 2.268 Å, I = 18, (1 2 5)
37.78 deg, 2.381 Å, I = 17, (0 0 6)
29.68 deg, 3.010 Å, I = 16, (0 2 4)
31.80 deg, 2.814 Å, I = 13, (1 1 4)
37.38 deg, 2.406 Å, I = 12, (1 4 1)
53.09 deg, 1.725 Å, I = 12, (2 0 6)

Cell lengths 5.005, 11.183, 14.286 Å; angles 90.00, 90.00, 90.00 degrees
Space group Immm (No. 71)
Symmetry-distinct sites (fractional):
Ba (0.000, 0.000, 0.000) (multiplicity 2)
Ba (0.000, 0.000, 0.308) (multiplicity 4)
In (0.000, 0.286, 0.126) (multiplicity 8)
In (0.000, 0.361, 0.336) (multiplicity 8)
Ag (0.000, 0.210, 0.500) (multiplicity 4)
Ag (0.000, 0.500, 0.000) (multiplicity 2)



# 13
Structure and computed PXRD pattern of Ba3InAg (a structure optimized by DFT (PBE); copper Kα).
Neutral-atom scattering factors, no anomalous dispersion.

Principal peaks in the range 10 to 90 degrees two-theta, most intense first:
29.48 deg, 3.030 Å, I = 100, (0 2 3)
24.21 deg, 3.677 Å, I = 78, (3 1 1)
30.15 deg, 2.964 Å, I = 70, (0 4 1)
30.00 deg, 2.979 Å, I = 57, (4 2 -1)
31.84 deg, 2.811 Å, I = 48, (2 4 0)
24.58 deg, 3.621 Å, I = 44, (3 1 -2)
34.51 deg, 2.599 Å, I = 42, (4 0 2)
27.56 deg, 3.237 Å, I = 37, (1 3 -2)
37.04 deg, 2.427 Å, I = 30, (3 1 -4)
29.18 deg, 3.061 Å, I = 27, (1 3 2)
28.68 deg, 3.113 Å, I = 22, (1 1 3)
21.23 deg, 4.184 Å, I = 18, (3 1 -1)

Cell lengths 13.705, 12.374, 10.640 Å; angles 90.00, 101.42, 90.00 degrees
Space group C2/c (No. 15)
Symmetry-distinct sites (fractional):
Ba (0.059, 0.122, 0.093) (multiplicity 8)
Ba (0.107, 0.411, 0.934) (multiplicity 8)
Ba (0.229, 0.189, 0.668) (multiplicity 8)
In (0.000, 0.140, 0.750) (multiplicity 4)
In (0.000, 0.363, 0.250) (multiplicity 4)
Ag (0.178, 0.024, 0.382) (multiplicity 8)